This entry pairs a crystal structure of MgGe3 with its simulated powder X-ray diffraction pattern. Radiation: Cu Kα (weighted mean of Kα1 and Kα2). Structure: a crystal structure in the Materials Project, relaxed with GGA-PBE.
No peak broadening, texture or thermal motion is included.

Atomic structure:
```
data_MgGe3
_chemical_formula_sum 'Mg2 Ge6'
_symmetry_space_group_name_H-M 'I 4/m m m'
_symmetry_Int_Tables_number 139
_symmetry_space_group_name_Hall '-I 4 2'
_cell_length_a 4.1831
_cell_length_b 4.1831
_cell_length_c 8.9443
_cell_angle_alpha 90.00
_cell_angle_beta 90.00
_cell_angle_gamma 90.00
loop_
_atom_site_label
_atom_site_type_symbol
_atom_site_fract_x
_atom_site_fract_y
_atom_site_fract_z
Mg1 Mg 0.0000 0.0000 0.0000
Ge1 Ge 0.0000 0.0000 0.5000
Ge2 Ge 0.0000 0.5000 0.2500
```

Top 12 peaks for 2θ from 10° to 80°, in order of falling intensity:
(hkl), 2theta, I/Imax
1 1 2, 36.42, 1000
2 0 0, 43.26, 306
3 1 2, 74.85, 232
2 0 4, 60.62, 219
0 0 4, 40.33, 187
1 1 6, 70.78, 137
1 0 1, 23.48, 119
2 2 4, 77.36, 106
2 2 0, 62.83, 98
0 0 2, 19.85, 44
1 0 3, 37.03, 37
1 1 0, 30.21, 32